Starting from a structure optimized by DFT (GGA-PBE), the powder diffractogram of Ce2Y2Tl7 was calculated for Cu Kα (λ = 1.5418 Å).
No peak broadening, texture or thermal motion is included.

Structure:
```
data_Ce2Y2Tl7
_symmetry_space_group_name_H-M 'C 1 2/m 1'
_symmetry_Int_Tables_number 12
_cell_length_a 11.794
_cell_length_b 9.429
_cell_length_c 6.167
_cell_angle_alpha 90.00
_cell_angle_beta 96.66
_cell_angle_gamma 90.00
loop_
_symmetry_equiv_pos_as_xyz
'x,y,z'
'-x,-y,-z'
'-x,y,-z'
'x,-y,z'
'x+1/2,y+1/2,z'
'-x+1/2,-y+1/2,-z'
'-x+1/2,y+1/2,-z'
'x+1/2,-y+1/2,z'
loop_
_atom_site_label
_atom_site_type_symbol
_atom_site_fract_x
_atom_site_fract_y
_atom_site_fract_z
_atom_site_occupancy
Ce1 Ce 0.227 0.000 0.176 1
Y1 Y 0.000 0.312 0.500 1
Tl1 Tl 0.000 0.500 0.000 1
Tl2 Tl 0.039 0.000 0.746 1
Tl3 Tl 0.230 0.333 0.279 1
```

Peak list (10 most intense, 2θ from 10° to 90°, sorted by position)
d [Å]	intensity	index
4.882	30.4	1 1 -1
3.736	36.7	0 2 1
3.672	37.6	2 2 0
3.061	45.0	0 0 2
2.929	86.9	4 0 0
2.853	28.8	2 0 -2
2.756	81.3	1 1 2
2.688	99.3	1 3 1
2.469	41.7	3 1 -2
2.333	100.0	3 3 -1



Starting from a structure optimized by DFT (GGA-PBE), the powder diffractogram of NaSmSi4 was calculated for Cu Kα (λ = 1.5418 Å).
No peak broadening, texture or thermal motion is included.

Structure:
```
data_NaSmSi4
_symmetry_space_group_name_H-M 'F -4 3 m'
_symmetry_Int_Tables_number 216
_symmetry_space_group_name_Hall 'F -4 2 3'
_cell_length_a 7.558
_cell_length_b 7.558
_cell_length_c 7.558
_cell_angle_alpha 90.00
_cell_angle_beta 90.00
_cell_angle_gamma 90.00
loop_
_atom_site_label
_atom_site_type_symbol
_atom_site_fract_x
_atom_site_fract_y
_atom_site_fract_z
_atom_site_occupancy
Na1 Na 0.000 0.000 0.000 1
Sm1 Sm 0.250 0.250 0.250 1
Si1 Si 0.128 0.128 0.628 1
```

Peak list (10 most intense, 2θ from 10° to 90°, sorted by position)
d [Å]	intensity	index
4.364	50.9	1 1 1
3.779	40.2	2 0 0
2.672	59.8	2 2 0
2.279	100.0	3 1 1
2.182	20.9	2 2 2
1.734	14.5	3 3 1
1.690	15.1	4 2 0
1.543	22.1	4 2 2
1.455	32.5	5 1 1
1.336	18.2	4 4 0



Starting from a structure optimized by DFT (GGA-PBE), the powder diffractogram of KAu2O4 was calculated for Cu Kα (λ = 1.5418 Å).
No peak broadening, texture or thermal motion is included.

Structure:
```
data_KAu2O4
_symmetry_space_group_name_H-M 'I 41/a'
_symmetry_Int_Tables_number 88
_cell_length_a 6.685
_cell_length_b 6.685
_cell_length_c 10.244
_cell_angle_alpha 90.00
_cell_angle_beta 90.00
_cell_angle_gamma 90.00
loop_
_symmetry_equiv_pos_as_xyz
'x,y,z'
'-x,-y,-z'
'-y+3/4,x+1/4,z+1/4'
'y+3/4,-x+1/4,-z+1/4'
'-x+1/2,-y,z+1/2'
'x+1/2,y,-z+1/2'
'y+3/4,-x+3/4,z+3/4'
'-y+3/4,x+3/4,-z+3/4'
'x+1/2,y+1/2,z+1/2'
'-x+1/2,-y+1/2,-z+1/2'
'-y+1/4,x+3/4,z+3/4'
'y+1/4,-x+3/4,-z+3/4'
'-x,-y+1/2,z'
'x,y+1/2,-z'
'y+1/4,-x+1/4,z+1/4'
'-y+1/4,x+1/4,-z+1/4'
loop_
_atom_site_label
_atom_site_type_symbol
_atom_site_fract_x
_atom_site_fract_y
_atom_site_fract_z
_atom_site_occupancy
K1 K 0.000 0.250 0.125 1
Au1 Au 0.000 0.000 0.500 1
O1 O 0.147 0.004 0.329 1
```

Peak list (10 most intense, 2θ from 10° to 90°, sorted by position)
d [Å]	intensity	index
5.598	100.0	1 0 1
3.041	32.3	1 0 3
2.870	74.4	2 1 1
2.799	89.5	2 0 2
2.363	22.0	2 2 0
2.249	16.0	2 1 3
1.824	16.3	3 2 1
1.737	29.5	2 2 4
1.520	17.1	2 0 6
1.435	27.8	2 4 2



Starting from a structure optimized by DFT (GGA-PBE), the powder diffractogram of Zn5B3Ir7 was calculated for Cu Kα (λ = 1.5418 Å).
No peak broadening, texture or thermal motion is included.

Structure:
```
data_Zn5B3Ir7
_symmetry_space_group_name_H-M 'P m m a'
_symmetry_Int_Tables_number 51
_cell_length_a 11.258
_cell_length_b 2.875
_cell_length_c 11.888
_cell_angle_alpha 90.00
_cell_angle_beta 90.00
_cell_angle_gamma 90.00
loop_
_symmetry_equiv_pos_as_xyz
'x,y,z'
'-x,-y,-z'
'-x+1/2,-y,z'
'x+1/2,y,-z'
'x+1/2,-y,-z'
'-x+1/2,y,z'
'-x,y,-z'
'x,-y,z'
loop_
_atom_site_label
_atom_site_type_symbol
_atom_site_fract_x
_atom_site_fract_y
_atom_site_fract_z
_atom_site_occupancy
Zn1 Zn 0.048 0.000 0.135 1
Zn2 Zn 0.131 0.000 0.345 1
Zn3 Zn 0.250 0.000 0.811 1
B1 B 0.118 0.000 0.593 1
B2 B 0.250 0.000 0.035 1
Ir1 Ir 0.000 0.500 0.500 1
Ir2 Ir 0.080 0.500 0.721 1
Ir3 Ir 0.125 0.500 0.962 1
Ir4 Ir 0.250 0.500 0.180 1
Ir5 Ir 0.250 0.500 0.525 1
```

Peak list (10 most intense, 2θ from 10° to 90°, sorted by position)
d [Å]	intensity	index
3.579	31.7	3 0 1
2.874	71.3	0 1 0
2.327	55.1	1 0 5
2.295	100.0	4 0 3
2.241	88.3	3 1 1
2.066	61.2	0 1 4
2.032	33.0	1 1 4
1.983	69.0	4 1 1
1.793	32.8	4 1 3
1.437	29.1	0 2 0



Starting from a structure optimized by DFT (GGA-PBE), the powder diffractogram of CaZn9Pd2 was calculated for Cu Kα (λ = 1.5418 Å).
No peak broadening, texture or thermal motion is included.

Structure:
```
data_CaZn9Pd2
_symmetry_space_group_name_H-M 'I 41/a m d'
_symmetry_Int_Tables_number 141
_cell_length_a 10.620
_cell_length_b 10.620
_cell_length_c 7.006
_cell_angle_alpha 90.00
_cell_angle_beta 90.00
_cell_angle_gamma 90.00
loop_
_symmetry_equiv_pos_as_xyz
'x,y,z'
'-x,-y,-z'
'-y+1/4,x+3/4,z+1/4'
'y+1/4,-x+3/4,-z+1/4'
'-x+1/2,-y,z+1/2'
'x+1/2,y,-z+1/2'
'y+1/4,-x+1/4,z+3/4'
'-y+1/4,x+1/4,-z+3/4'
'x,-y,-z'
'-x,y,z'
'-y+1/4,-x+1/4,-z+3/4'
'y+1/4,x+1/4,z+3/4'
'-x+1/2,y,-z+1/2'
'x+1/2,-y,z+1/2'
'y+1/4,x+3/4,-z+1/4'
'-y+1/4,-x+3/4,z+1/4'
'x+1/2,y+1/2,z+1/2'
'-x+1/2,-y+1/2,-z+1/2'
'-y+3/4,x+1/4,z+3/4'
'y+3/4,-x+1/4,-z+3/4'
'-x,-y+1/2,z'
'x,y+1/2,-z'
'y+3/4,-x+3/4,z+1/4'
'-y+3/4,x+3/4,-z+1/4'
'x+1/2,-y+1/2,-z+1/2'
'-x+1/2,y+1/2,z+1/2'
'-y+3/4,-x+3/4,-z+1/4'
'y+3/4,x+3/4,z+1/4'
'-x,y+1/2,-z'
'x,-y+1/2,z'
'y+3/4,x+1/4,-z+3/4'
'-y+3/4,-x+1/4,z+3/4'
loop_
_atom_site_label
_atom_site_type_symbol
_atom_site_fract_x
_atom_site_fract_y
_atom_site_fract_z
_atom_site_occupancy
Ca1 Ca 0.000 0.250 0.375 1
Zn1 Zn 0.000 0.250 0.875 1
Zn2 Zn 0.121 0.042 0.679 1
Pd1 Pd 0.000 0.000 0.000 1
```

Peak list (10 most intense, 2θ from 10° to 90°, sorted by position)
d [Å]	intensity	index
5.848	36.3	1 0 1
5.310	18.0	2 0 0
2.715	26.8	3 2 1
2.424	49.8	3 1 2
2.375	44.4	4 2 0
2.281	27.4	1 0 3
2.096	41.7	2 1 3
2.033	100.0	5 0 1
1.966	50.1	4 2 2
1.380	16.9	5 5 2



Starting from a structure optimized by DFT (GGA-PBE), the powder diffractogram of Ce6PmIn2 was calculated for Cu Kα (λ = 1.5418 Å).
No peak broadening, texture or thermal motion is included.

Structure:
```
data_Ce6PmIn2
_symmetry_space_group_name_H-M 'P 6/m m m'
_symmetry_Int_Tables_number 191
_symmetry_space_group_name_Hall '-P 6 2'
_cell_length_a 9.4660
_cell_length_b 9.4660
_cell_length_c 3.1385
_cell_angle_alpha 90.00
_cell_angle_beta 90.00
_cell_angle_gamma 120.00
loop_
_atom_site_label
_atom_site_type_symbol
_atom_site_fract_x
_atom_site_fract_y
_atom_site_fract_z
_atom_site_occupancy
Ce1 Ce 0.0000 0.3513 0.0000 1
Pm1 Pm 0.0000 0.0000 0.5000 1
In1 In 0.3333 0.6667 0.5000 1
```

Peak list (10 most intense, 2θ from 10° to 90°, sorted by position)
d [Å]	intensity	index
2.733	100.0	3 0 0
2.616	79.6	1 1 1
2.061	11.4	3 0 1
1.890	28.9	2 2 1
1.578	16.9	3 3 0
1.554	29.7	4 1 1
1.366	9.8	6 0 0
1.361	22.8	3 0 2
1.211	11.5	5 2 1
1.113	11.1	3 3 2



Starting from a structure optimized by DFT (GGA-PBE), the powder diffractogram of TlIn2Tc was calculated for Cu Kα (λ = 1.5418 Å).
No peak broadening, texture or thermal motion is included.

Structure:
```
data_TlIn2Tc
_symmetry_space_group_name_H-M 'I m m 2'
_symmetry_Int_Tables_number 44
_cell_length_a 2.980
_cell_length_b 4.709
_cell_length_c 13.898
_cell_angle_alpha 90.00
_cell_angle_beta 90.00
_cell_angle_gamma 90.00
loop_
_symmetry_equiv_pos_as_xyz
'x,y,z'
'-x,-y,z'
'-x,y,z'
'x,-y,z'
'x+1/2,y+1/2,z+1/2'
'-x+1/2,-y+1/2,z+1/2'
'-x+1/2,y+1/2,z+1/2'
'x+1/2,-y+1/2,z+1/2'
loop_
_atom_site_label
_atom_site_type_symbol
_atom_site_fract_x
_atom_site_fract_y
_atom_site_fract_z
_atom_site_occupancy
Tl1 Tl 0.000 0.000 0.000 1
In1 In 0.000 0.000 0.362 1
In2 In 0.000 0.500 0.185 1
Tc1 Tc 0.000 0.500 0.689 1
```

Peak list (10 most intense, 2θ from 10° to 90°, sorted by position)
d [Å]	intensity	index
4.460	26.4	0 1 1
3.302	69.7	0 1 3
2.506	26.6	1 0 3
2.394	17.5	0 1 5
2.367	100.0	1 1 2
2.354	38.2	0 2 0
2.316	29.9	0 0 6
2.039	25.8	1 1 4
1.651	21.7	0 2 6
1.430	28.9	1 1 8



Starting from a structure optimized by DFT (GGA-PBE), the powder diffractogram of Eu3Au2 was calculated for Cu Kα (λ = 1.5418 Å).
No peak broadening, texture or thermal motion is included.

Structure:
```
data_Eu3Au2
_symmetry_space_group_name_H-M 'R -3'
_symmetry_Int_Tables_number 148
_symmetry_space_group_name_Hall '-R 3'
_cell_length_a 9.3436
_cell_length_b 9.3436
_cell_length_c 18.0402
_cell_angle_alpha 90.00
_cell_angle_beta 90.00
_cell_angle_gamma 120.00
loop_
_atom_site_label
_atom_site_type_symbol
_atom_site_fract_x
_atom_site_fract_y
_atom_site_fract_z
_atom_site_occupancy
Eu1 Eu 0.0000 0.0000 0.0000 1
Eu2 Eu 0.0000 0.0000 0.1996 1
Eu3 Eu 0.0050 0.7516 0.5930 1
Au1 Au 0.0217 0.4078 0.5693 1
```

Peak list (10 most intense, 2θ from 10° to 90°, sorted by position)
d [Å]	intensity	index
7.383	15.7	1 0 1
3.011	56.2	0 0 6
2.896	68.9	3 -2 2
2.697	52.3	3 0 0
2.530	100.0	2 -1 6
2.177	15.0	3 1 2
2.009	16.9	1 3 4
1.816	23.6	1 2 8
1.508	14.4	6 -2 2
1.434	14.9	5 -3 8